Starting from a structure optimized by DFT (PBE), the X-ray diffraction stick pattern of Be2PdF4 was simulated for Cu Kα.
Neutral-atom scattering factors, no anomalous dispersion.

Peak list (10 most intense, 15° ≤ 2θ ≤ 90°, by angle)
2θ/deg, I_rel
19.25, 90
25.59, 39
26.46, 30
29.01, 32
32.93, 83
37.14, 100
41.58, 30
46.12, 26
47.80, 27
53.96, 42

Structural model:
Lattice parameters (Å, degrees): 4.6468 4.6468 3.3688 90.00 90.00 97.04
Sites, in units of the cell vectors:
Be 0.0000 0.5000 0.0000
Be 0.5000 0.0000 0.0000
Pd 0.0000 0.0000 0.5000
F 0.2999 0.7001 0.0000
F 0.3173 0.3173 0.5000
F 0.6827 0.6827 0.5000
F 0.7001 0.2999 0.0000

=====

Starting from a structure optimized by DFT (PBE), the X-ray diffraction stick pattern of Er2Lu3Al3 was simulated for Cu Kα.
Neutral-atom scattering factors, no anomalous dispersion.

Peak list (10 most intense, 15° ≤ 2θ ≤ 90°, by angle)
2θ/deg, I_rel
18.90, 19
24.30, 26
32.31, 97
33.38, 100
34.48, 23
47.14, 30
57.63, 19
58.31, 41
60.32, 16
77.55, 18

Structural model:
Lattice parameters (Å, degrees): 8.2070 8.2070 8.2070 39.46 39.46 39.46
Sites, in units of the cell vectors:
Er 0.2136 0.2136 0.2136
Er 0.7864 0.7864 0.7864
Lu 0.0680 0.0680 0.0680
Lu 0.5000 0.5000 0.5000
Lu 0.9320 0.9320 0.9320
Al 0.0000 0.5000 0.5000
Al 0.5000 0.0000 0.5000
Al 0.5000 0.5000 0.0000

=====

Starting from a structure optimized by DFT (PBE), the X-ray diffraction stick pattern of Dy3Mg3Zn2Cd was simulated for Cu Kα.
Neutral-atom scattering factors, no anomalous dispersion.

Peak list (10 most intense, 15° ≤ 2θ ≤ 90°, by angle)
2θ/deg, I_rel
20.67, 28
23.63, 24
27.35, 38
31.59, 64
34.53, 100
36.45, 21
42.04, 21
42.27, 18
50.45, 19
55.08, 26

Structural model:
Lattice parameters (Å, degrees): 7.5307 7.5307 4.2981 90.00 90.00 120.00
Sites, in units of the cell vectors:
Dy 0.0000 0.5786 0.0000
Dy 0.4214 0.4214 0.0000
Dy 0.5786 0.0000 0.0000
Mg 0.0000 0.2532 0.5000
Mg 0.2532 0.0000 0.5000
Mg 0.7468 0.7468 0.5000
Zn 0.3333 0.6667 0.5000
Zn 0.6667 0.3333 0.5000
Cd 0.0000 0.0000 0.0000

=====

Starting from a structure optimized by DFT (PBE), the X-ray diffraction stick pattern of Tm2ZrIn3Ir2 was simulated for Cu Kα.
Neutral-atom scattering factors, no anomalous dispersion.

Peak list (10 most intense, 15° ≤ 2θ ≤ 90°, by angle)
2θ/deg, I_rel
34.94, 56
35.11, 100
35.79, 39
36.07, 43
36.24, 39
37.62, 71
37.84, 38
40.91, 26
52.96, 25
70.56, 16

Structural model:
Lattice parameters (Å, degrees): 3.4581 7.5883 7.5883 119.30 90.00 90.00
Sites, in units of the cell vectors:
Tm 0.0000 0.2098 0.7902
Tm 0.0000 0.7902 0.2098
Zr 0.0000 0.3635 0.3635
In 0.5000 0.0252 0.0252
In 0.5000 0.5552 0.7851
In 0.5000 0.7851 0.5552
Ir 0.5000 0.1316 0.4530
Ir 0.5000 0.4530 0.1316

=====

Starting from a structure optimized by DFT (PBE), the X-ray diffraction stick pattern of AlHgSO was simulated for Cu Kα.
Neutral-atom scattering factors, no anomalous dispersion.

Peak list (10 most intense, 15° ≤ 2θ ≤ 90°, by angle)
2θ/deg, I_rel
19.48, 100
22.07, 58
25.01, 52
27.39, 63
31.89, 97
32.39, 47
33.60, 60
39.54, 34
41.35, 37
47.36, 36

Structural model:
Lattice parameters (Å, degrees): 3.5607 8.0550 5.5281 90.00 90.00 90.00
Sites, in units of the cell vectors:
Al 0.0000 0.1151 0.0000
Al 0.0000 0.8849 0.5000
Hg 0.5000 0.2998 0.5311
Hg 0.5000 0.7002 0.0311
S 0.5000 0.2986 0.0365
S 0.5000 0.7014 0.5365
O 0.0000 0.0400 0.7103
O 0.0000 0.9600 0.2103

=====

Starting from a structure optimized by DFT (PBE), the X-ray diffraction stick pattern of ZrBePd was simulated for Cu Kα.
Neutral-atom scattering factors, no anomalous dispersion.

Peak list (10 most intense, 15° ≤ 2θ ≤ 90°, by angle)
2θ/deg, I_rel
29.97, 24
31.24, 32
34.83, 25
35.09, 18
40.17, 100
42.89, 51
56.57, 18
62.27, 16
71.96, 16
76.74, 29

Structural model:
Lattice parameters (Å, degrees): 2.9820 2.9820 10.2296 90.00 90.00 90.00
Sites, in units of the cell vectors:
Zr 0.0000 0.0000 0.2000
Zr 0.0000 0.0000 0.8000
Be 0.5000 0.5000 0.3840
Be 0.5000 0.5000 0.6160
Pd 0.0000 0.0000 0.5000
Pd 0.5000 0.5000 0.0000

=====

Starting from a structure optimized by DFT (PBE), the X-ray diffraction stick pattern of TmIn3C3 was simulated for Cu Kα.
Neutral-atom scattering factors, no anomalous dispersion.

Peak list (10 most intense, 15° ≤ 2θ ≤ 90°, by angle)
2θ/deg, I_rel
29.27, 100
31.13, 85
33.59, 71
36.52, 65
37.76, 45
39.86, 55
48.99, 72
60.70, 31
63.46, 57
81.63, 19

Structural model:
Lattice parameters (Å, degrees): 3.7190 3.7190 19.0598 90.00 90.00 120.00
Sites, in units of the cell vectors:
Tm 0.0000 0.0000 0.0000
Tm 0.0000 0.0000 0.5000
In 0.3333 0.6667 0.1230
In 0.3333 0.6667 0.3770
In 0.3333 0.6667 0.7500
In 0.6667 0.3333 0.2500
In 0.6667 0.3333 0.6230
In 0.6667 0.3333 0.8770
C 0.3333 0.6667 0.2500
C 0.3333 0.6667 0.5741
C 0.3333 0.6667 0.9259
C 0.6667 0.3333 0.0741
C 0.6667 0.3333 0.4259
C 0.6667 0.3333 0.7500

=====

Starting from a structure optimized by DFT (PBE), the X-ray diffraction stick pattern of MgIr was simulated for Cu Kα.
Neutral-atom scattering factors, no anomalous dispersion.

Peak list (10 most intense, 15° ≤ 2θ ≤ 90°, by angle)
2θ/deg, I_rel
20.76, 64
36.08, 58
41.99, 100
42.24, 18
56.74, 32
64.88, 16
68.92, 15
77.07, 17
80.34, 15
80.51, 17

Structural model:
Lattice parameters (Å, degrees): 2.8744 2.8744 4.2786 90.00 90.00 120.00
Sites, in units of the cell vectors:
Mg 0.0000 0.0000 0.0000
Ir 0.3333 0.6667 0.5000